This entry pairs a crystal structure of Tm4GaCo2Ge4 with its simulated PXRD pattern. Radiation: Cu Kα. Structure: the GGA-PBE geometry in OQMD.
Neutral-atom scattering factors, no anomalous dispersion.

Crystal structure
Lattice parameters (Å, degrees): 15.0630 4.1905 6.8374 90.00 107.39 90.00
Space group C2/m (No. 12)
Asymmetric unit:
1 Tm 0.0887 0.0000 0.3862 x4
2 Tm 0.1514 0.0000 0.9417 x4
3 Ga 0.0000 0.5000 0.0000 x2
4 Co 0.2210 0.5000 0.6336 x4
5 Ge 0.0667 0.5000 0.6651 x4
6 Ge 0.2038 0.5000 0.2670 x4

Top 6 peaks for 2θ = 5–70°, by angle:
two_theta, I/Imax, h k l
33.9, 90, 3 1 1
35.5, 100, 3 1 -2
36.9, 66, 1 1 2
37.0, 40, 5 1 -1
38.0, 34, 5 1 0
43.2, 55, 0 2 0